(1)
Theoretical XRD peak list
Compound: Li2U3P2O15
Radiation: Cu Kα, 1.54184 Å
Structure: the PBE geometry in Alexandria
No peak broadening, texture or thermal motion is included.

Crystal structure
```
data_Li2U3P2O15
_symmetry_space_group_name_H-M 'I 41/a m d'
_symmetry_Int_Tables_number 141
_cell_length_a 7.2067
_cell_length_b 7.2067
_cell_length_c 25.5141
_cell_angle_alpha 90.00
_cell_angle_beta 90.00
_cell_angle_gamma 90.00
loop_
_symmetry_equiv_pos_as_xyz
'x,y,z'
'-x,-y,-z'
'-y+1/4,x+3/4,z+1/4'
'y+1/4,-x+3/4,-z+1/4'
'-x+1/2,-y,z+1/2'
'x+1/2,y,-z+1/2'
'y+1/4,-x+1/4,z+3/4'
'-y+1/4,x+1/4,-z+3/4'
'x,-y,-z'
'-x,y,z'
'-y+1/4,-x+1/4,-z+3/4'
'y+1/4,x+1/4,z+3/4'
'-x+1/2,y,-z+1/2'
'x+1/2,-y,z+1/2'
'y+1/4,x+3/4,-z+1/4'
'-y+1/4,-x+3/4,z+1/4'
'x+1/2,y+1/2,z+1/2'
'-x+1/2,-y+1/2,-z+1/2'
'-y+3/4,x+1/4,z+3/4'
'y+3/4,-x+1/4,-z+3/4'
'-x,-y+1/2,z'
'x,y+1/2,-z'
'y+3/4,-x+3/4,z+1/4'
'-y+3/4,x+3/4,-z+1/4'
'x+1/2,-y+1/2,-z+1/2'
'-x+1/2,y+1/2,z+1/2'
'-y+3/4,-x+3/4,-z+1/4'
'y+3/4,x+3/4,z+1/4'
'-x,y+1/2,-z'
'x,-y+1/2,z'
'y+3/4,x+1/4,-z+3/4'
'-y+3/4,-x+1/4,z+3/4'
loop_
_atom_site_label
_atom_site_type_symbol
_atom_site_fract_x
_atom_site_fract_y
_atom_site_fract_z
Li1 Li 0.0000 0.2500 0.0612
U1 U 0.0000 0.2500 0.2917
U2 U 0.0000 0.2500 0.8750
P1 P 0.0000 0.2500 0.1641
O1 O 0.0000 0.0029 0.7116
O2 O 0.0000 0.0782 0.1274
O3 O 0.0000 0.0820 0.5476
O4 O 0.0000 0.2500 0.3750
O5 O 0.0000 0.2500 0.8045
```

The 10 most intense peaks (10° ≤ 2θ ≤ 80°), by angle:
d = 6.935 Å, rel. 25, hkl 1 0 1; d = 5.498 Å, rel. 32, hkl 1 0 3; d = 4.732 Å, rel. 73, hkl 1 1 2; d = 4.165 Å, rel. 64, hkl 1 0 5; d = 3.603 Å, rel. 100, hkl 2 0 0; d = 3.253 Å, rel. 54, hkl 1 0 7; d = 2.725 Å, rel. 25, hkl 2 1 5; d = 2.548 Å, rel. 25, hkl 2 2 0; d = 2.414 Å, rel. 26, hkl 2 1 7; d = 2.243 Å, rel. 34, hkl 3 1 2


(2)
Theoretical XRD peak list
Compound: Ta2Ti2Al
Radiation: Cu Kα, 1.54184 Å
Structure: the PBE geometry in Alexandria
No peak broadening, texture or thermal motion is included.

Crystal structure
```
data_Ta2Ti2Al
_symmetry_space_group_name_H-M 'C 1 2/m 1'
_symmetry_Int_Tables_number 12
_cell_length_a 13.1955
_cell_length_b 4.6924
_cell_length_c 2.8551
_cell_angle_alpha 90.00
_cell_angle_beta 100.99
_cell_angle_gamma 90.00
loop_
_symmetry_equiv_pos_as_xyz
'x,y,z'
'-x,-y,-z'
'-x,y,-z'
'x,-y,z'
'x+1/2,y+1/2,z'
'-x+1/2,-y+1/2,-z'
'-x+1/2,y+1/2,-z'
'x+1/2,-y+1/2,z'
loop_
_atom_site_label
_atom_site_type_symbol
_atom_site_fract_x
_atom_site_fract_y
_atom_site_fract_z
Ta1 Ta 0.2020 0.0000 0.3193
Ti1 Ti 0.0991 0.5000 0.8895
Al1 Al 0.0000 0.0000 0.5000
```

The 10 most intense peaks (10° ≤ 2θ ≤ 80°), by angle:
d = 6.477 Å, rel. 100, hkl 2 0 0; d = 3.177 Å, rel. 35, hkl 3 1 0; d = 2.772 Å, rel. 15, hkl 2 0 -1; d = 2.439 Å, rel. 16, hkl 1 1 -1; d = 2.353 Å, rel. 35, hkl 4 0 -1; d = 2.346 Å, rel. 35, hkl 0 2 0; d = 2.299 Å, rel. 65, hkl 1 1 1; d = 2.268 Å, rel. 64, hkl 5 1 0; d = 2.206 Å, rel. 15, hkl 2 2 0; d = 1.661 Å, rel. 24, hkl 4 2 -1


(3)
Theoretical XRD peak list
Compound: KTmAg2Cl6
Radiation: Cu Kα, 1.54184 Å
Structure: the PBE geometry in Alexandria
No peak broadening, texture or thermal motion is included.

Crystal structure
```
data_KTmAg2Cl6
_symmetry_space_group_name_H-M 'R 3'
_symmetry_Int_Tables_number 146
_symmetry_space_group_name_Hall 'R 3'
_cell_length_a 7.0744
_cell_length_b 7.0744
_cell_length_c 19.3388
_cell_angle_alpha 90.00
_cell_angle_beta 90.00
_cell_angle_gamma 120.00
loop_
_atom_site_label
_atom_site_type_symbol
_atom_site_fract_x
_atom_site_fract_y
_atom_site_fract_z
K1 K 0.0000 0.0000 0.0000
Tm1 Tm 0.0000 0.0000 0.5149
Ag1 Ag 0.0000 0.0000 0.1959
Ag2 Ag 0.0000 0.0000 0.7108
Cl1 Cl 0.0163 0.3488 0.1106
Cl2 Cl 0.0725 0.7130 0.2676
```

The 10 most intense peaks (10° ≤ 2θ ≤ 80°), by angle:
d = 6.446 Å, rel. 23, hkl 0 0 3; d = 5.840 Å, rel. 45, hkl 1 0 1; d = 5.175 Å, rel. 51, hkl 0 1 2; d = 3.795 Å, rel. 72, hkl 1 0 4; d = 3.537 Å, rel. 72, hkl 1 1 0; d = 3.101 Å, rel. 44, hkl 1 1 3; d = 2.588 Å, rel. 33, hkl 0 2 4; d = 2.382 Å, rel. 100, hkl 1 1 6; d = 2.088 Å, rel. 33, hkl 2 1 4; d = 2.042 Å, rel. 49, hkl 3 0 0


(4)
Theoretical XRD peak list
Compound: Pa2Co4BOs2
Radiation: Cu Kα, 1.54184 Å
Structure: the PBE geometry in Alexandria
No peak broadening, texture or thermal motion is included.

Crystal structure
```
data_Pa2Co4BOs2
_symmetry_space_group_name_H-M 'I 4/m m m'
_symmetry_Int_Tables_number 139
_symmetry_space_group_name_Hall '-I 4 2'
_cell_length_a 5.6547
_cell_length_b 5.6547
_cell_length_c 7.9512
_cell_angle_alpha 90.00
_cell_angle_beta 90.00
_cell_angle_gamma 90.00
loop_
_atom_site_label
_atom_site_type_symbol
_atom_site_fract_x
_atom_site_fract_y
_atom_site_fract_z
Pa1 Pa 0.0000 0.5000 0.2500
Co1 Co 0.2455 0.2455 0.0000
B1 B 0.0000 0.0000 0.5000
Os1 Os 0.0000 0.0000 0.2384
```

The 10 most intense peaks (10° ≤ 2θ ≤ 80°), by angle:
d = 3.976 Å, rel. 28, hkl 0 0 2; d = 2.827 Å, rel. 28, hkl 2 0 0; d = 2.304 Å, rel. 100, hkl 2 0 2; d = 1.999 Å, rel. 34, hkl 2 2 0; d = 1.988 Å, rel. 16, hkl 0 0 4; d = 1.786 Å, rel. 14, hkl 2 2 2; d = 1.414 Å, rel. 11, hkl 4 0 0; d = 1.410 Å, rel. 21, hkl 2 2 4; d = 1.205 Å, rel. 25, hkl 4 2 2; d = 1.200 Å, rel. 12, hkl 2 0 6